[1]
Structure and calculated XRD peak list of BaSrLaNbO6 (the PBE geometry in the Materials Project; CuKα).

Peak list (6 most intense, 2θ from 10° to 90°, by angle)
- 2θ 28.91, intensity 100
- 2θ 41.34, intensity 32
- 2θ 51.23, intensity 40
- 2θ 59.90, intensity 20
- 2θ 67.86, intensity 18
- 2θ 82.66, intensity 21

Structure:
a = 6.177 Å, b = 6.177 Å, c = 6.177 Å
α = 60.00°, β = 60.00°, γ = 60.00°
Atoms (fractional coordinates):
Ba 0.000 0.000 0.000
Sr 0.500 0.500 0.500
La 0.750 0.750 0.750
Nb 0.250 0.250 0.250
O 0.019 0.019 0.481
O 0.019 0.481 0.019
O 0.019 0.481 0.481
O 0.481 0.019 0.019
O 0.481 0.019 0.481
O 0.481 0.481 0.019

[2]
Structure and calculated XRD peak list of BaSrLaNbO6 (the PBE geometry in the Materials Project; CuKα).

Peak list (6 most intense, 2θ from 10° to 90°, by angle)
- 2θ 29.16, intensity 100
- 2θ 41.71, intensity 28
- 2θ 51.70, intensity 44
- 2θ 60.46, intensity 17
- 2θ 68.55, intensity 12
- 2θ 83.50, intensity 15

Structure:
a = 8.657 Å, b = 8.657 Å, c = 8.672 Å
α = 90.00°, β = 90.00°, γ = 90.00°
Atoms (fractional coordinates):
Ba 0.000 0.000 0.000
Ba 0.000 0.000 0.500
Ba 0.000 0.500 0.000
Ba 0.500 0.500 0.000
Sr 0.000 0.500 0.500
Sr 0.500 0.000 0.000
Sr 0.500 0.000 0.500
Sr 0.500 0.500 0.500
La 0.252 0.249 0.748
La 0.252 0.751 0.252
La 0.748 0.249 0.252
La 0.748 0.751 0.748
Nb 0.253 0.251 0.254
Nb 0.253 0.749 0.746
Nb 0.747 0.251 0.746
Nb 0.747 0.749 0.254
O 0.022 0.216 0.222
O 0.022 0.784 0.778
O 0.207 0.288 0.481
O 0.207 0.712 0.519
O 0.224 0.480 0.214
O 0.224 0.520 0.786
O 0.289 0.022 0.295
O 0.289 0.978 0.705
O 0.293 0.213 0.023
O 0.293 0.787 0.977
O 0.481 0.292 0.293
O 0.481 0.708 0.707
O 0.519 0.292 0.707
O 0.519 0.708 0.293
O 0.707 0.213 0.977
O 0.707 0.787 0.023
O 0.711 0.022 0.705
O 0.711 0.978 0.295
O 0.776 0.480 0.786
O 0.776 0.520 0.214
O 0.793 0.288 0.519
O 0.793 0.712 0.481
O 0.978 0.216 0.778
O 0.978 0.784 0.222

[3]
Structure and calculated XRD peak list of Ba3La3Ti4NbO18 (the PBE geometry in the Materials Project; CuKα).

Peak list (6 most intense, 2θ from 10° to 90°, by angle)
- 2θ 29.89, intensity 100
- 2θ 31.48, intensity 91
- 2θ 43.96, intensity 57
- 2θ 52.05, intensity 18
- 2θ 55.07, intensity 36
- 2θ 65.71, intensity 19

Structure:
a = 14.177 Å, b = 14.177 Å, c = 14.177 Å
α = 23.13°, β = 23.13°, γ = 23.13°
Atoms (fractional coordinates):
Ba 0.000 0.000 0.000
Ba 0.174 0.174 0.174
Ba 0.728 0.728 0.728
La 0.451 0.451 0.451
La 0.627 0.627 0.627
La 0.903 0.903 0.903
Ti 0.090 0.090 0.090
Ti 0.260 0.260 0.260
Ti 0.537 0.537 0.537
Ti 0.814 0.814 0.814
Nb 0.363 0.363 0.363
O 0.004 0.508 0.508
O 0.110 0.110 0.618
O 0.110 0.618 0.110
O 0.175 0.670 0.670
O 0.234 0.234 0.726
O 0.234 0.726 0.234
O 0.397 0.397 0.888
O 0.397 0.888 0.397
O 0.450 0.952 0.952
O 0.508 0.004 0.508
O 0.508 0.508 0.004
O 0.618 0.110 0.110
O 0.670 0.175 0.670
O 0.670 0.670 0.175
O 0.726 0.234 0.234
O 0.888 0.397 0.397
O 0.952 0.450 0.952
O 0.952 0.952 0.450

[4]
Structure and calculated XRD peak list of Ba4La2Ti3Nb2O18 (the PBE geometry in the Materials Project; CuKα).

Peak list (6 most intense, 2θ from 10° to 90°, by angle)
- 2θ 29.43, intensity 100
- 2θ 31.24, intensity 97
- 2θ 43.45, intensity 54
- 2θ 54.48, intensity 36
- 2θ 55.58, intensity 22
- 2θ 65.15, intensity 24

Structure:
a = 14.450 Å, b = 14.450 Å, c = 14.450 Å
α = 22.86°, β = 22.86°, γ = 22.86°
Atoms (fractional coordinates):
Ba 0.140 0.140 0.140
Ba 0.312 0.312 0.312
Ba 0.688 0.688 0.688
Ba 0.860 0.860 0.860
La 0.415 0.415 0.415
La 0.585 0.585 0.585
Ti 0.222 0.222 0.222
Ti 0.500 0.500 0.500
Ti 0.778 0.778 0.778
Nb 0.054 0.054 0.054
Nb 0.946 0.946 0.946
O 0.083 0.083 0.576
O 0.083 0.576 0.083
O 0.145 0.635 0.635
O 0.206 0.206 0.690
O 0.206 0.690 0.206
O 0.310 0.794 0.794
O 0.365 0.365 0.855
O 0.365 0.855 0.365
O 0.424 0.917 0.917
O 0.576 0.083 0.083
O 0.635 0.145 0.635
O 0.635 0.635 0.145
O 0.690 0.206 0.206
O 0.794 0.310 0.794
O 0.794 0.794 0.310
O 0.855 0.365 0.365
O 0.917 0.424 0.917
O 0.917 0.917 0.424

[5]
Structure and calculated XRD peak list of Ba3La2Ti2Nb2O15 (the PBE geometry in the Materials Project; CuKα).

Peak list (6 most intense, 2θ from 10° to 90°, by angle)
- 2θ 29.04, intensity 100
- 2θ 31.25, intensity 88
- 2θ 43.18, intensity 53
- 2θ 54.26, intensity 35
- 2θ 55.62, intensity 17
- 2θ 65.19, intensity 18

Structure:
a = 5.725 Å, b = 5.725 Å, c = 11.760 Å
α = 90.00°, β = 90.00°, γ = 120.00°
Atoms (fractional coordinates):
Ba 0.000 0.000 0.000
Ba 0.333 0.667 0.424
Ba 0.667 0.333 0.576
La 0.333 0.667 0.787
La 0.667 0.333 0.213
Ti 0.333 0.667 0.097
Ti 0.667 0.333 0.903
Nb 0.000 0.000 0.305
Nb 0.000 0.000 0.695
O 0.000 0.500 0.000
O 0.169 0.338 0.191
O 0.169 0.831 0.191
O 0.172 0.343 0.621
O 0.172 0.828 0.621
O 0.338 0.169 0.809
O 0.343 0.172 0.379
O 0.500 0.000 0.000
O 0.500 0.500 0.000
O 0.657 0.828 0.621
O 0.662 0.831 0.191
O 0.828 0.172 0.379
O 0.828 0.657 0.379
O 0.831 0.169 0.809
O 0.831 0.662 0.809

[6]
Structure and calculated XRD peak list of Ba2La3Ti3NbO15 (the PBE geometry in the Materials Project; CuKα).

Peak list (6 most intense, 2θ from 10° to 90°, by angle)
- 2θ 29.23, intensity 100
- 2θ 31.57, intensity 80
- 2θ 43.56, intensity 48
- 2θ 50.31, intensity 19
- 2θ 54.79, intensity 35
- 2θ 56.22, intensity 18

Structure:
a = 5.668 Å, b = 5.668 Å, c = 23.423 Å
α = 90.00°, β = 90.00°, γ = 120.00°
Atoms (fractional coordinates):
Ba 0.000 0.000 0.000
Ba 0.000 0.000 0.500
Ba 0.333 0.667 0.427
Ba 0.333 0.667 0.927
La 0.000 0.000 0.315
La 0.000 0.000 0.815
La 0.333 0.667 0.101
La 0.333 0.667 0.601
La 0.667 0.333 0.210
La 0.667 0.333 0.710
Ti 0.000 0.000 0.160
Ti 0.000 0.000 0.660
Ti 0.333 0.667 0.258
Ti 0.333 0.667 0.758
Ti 0.667 0.333 0.058
Ti 0.667 0.333 0.558
Nb 0.667 0.333 0.364
Nb 0.667 0.333 0.864
O 0.001 0.473 0.024
O 0.001 0.528 0.524
O 0.108 0.332 0.213
O 0.108 0.775 0.713
O 0.225 0.332 0.713
O 0.225 0.892 0.213
O 0.324 0.131 0.400
O 0.324 0.194 0.900
O 0.336 0.115 0.621
O 0.336 0.220 0.121
O 0.444 0.004 0.803
O 0.444 0.440 0.303
O 0.472 0.473 0.524
O 0.472 0.999 0.024
O 0.527 0.528 0.024
O 0.527 0.999 0.524
O 0.560 0.004 0.303
O 0.560 0.556 0.803
O 0.668 0.775 0.213
O 0.668 0.892 0.713
O 0.780 0.115 0.121
O 0.780 0.664 0.621
O 0.806 0.131 0.900
O 0.806 0.676 0.400
O 0.869 0.194 0.400
O 0.869 0.676 0.900
O 0.885 0.220 0.621
O 0.885 0.664 0.121
O 0.996 0.440 0.803
O 0.996 0.556 0.303

[7]
Structure and calculated XRD peak list of Ba2La2O5 (the PBE geometry in the Materials Project; CuKα).

Peak list (6 most intense, 2θ from 10° to 90°, by angle)
- 2θ 26.70, intensity 31
- 2θ 26.98, intensity 31
- 2θ 27.91, intensity 100
- 2θ 38.33, intensity 24
- 2θ 47.91, intensity 22
- 2θ 48.25, intensity 17

Structure:
a = 6.609 Å, b = 17.449 Å, c = 6.677 Å
α = 90.00°, β = 90.00°, γ = 90.00°
Atoms (fractional coordinates):
Ba 0.034 0.110 0.020
Ba 0.034 0.390 0.020
Ba 0.466 0.610 0.520
Ba 0.466 0.890 0.520
Ba 0.534 0.110 0.480
Ba 0.534 0.390 0.480
Ba 0.966 0.610 0.980
Ba 0.966 0.890 0.980
La 0.000 0.000 0.500
La 0.000 0.500 0.500
La 0.051 0.250 0.552
La 0.449 0.750 0.052
La 0.500 0.000 0.000
La 0.500 0.500 0.000
La 0.551 0.250 0.948
La 0.949 0.750 0.448
O 0.052 0.640 0.593
O 0.052 0.860 0.593
O 0.095 0.750 0.129
O 0.212 0.523 0.213
O 0.212 0.977 0.213
O 0.288 0.023 0.713
O 0.288 0.477 0.713
O 0.405 0.250 0.629
O 0.448 0.140 0.093
O 0.448 0.360 0.093
O 0.552 0.640 0.907
O 0.552 0.860 0.907
O 0.595 0.750 0.371
O 0.712 0.523 0.287
O 0.712 0.977 0.287
O 0.788 0.023 0.787
O 0.788 0.477 0.787
O 0.905 0.250 0.871
O 0.948 0.140 0.407
O 0.948 0.360 0.407

[8]
Structure and calculated XRD peak list of BaLa2O4 (the PBE geometry in the Materials Project; CuKα).

Peak list (6 most intense, 2θ from 10° to 90°, by angle)
- 2θ 28.09, intensity 49
- 2θ 28.50, intensity 100
- 2θ 29.13, intensity 65
- 2θ 29.27, intensity 35
- 2θ 41.00, intensity 38
- 2θ 50.76, intensity 30

Structure:
a = 10.798 Å, b = 3.700 Å, c = 12.705 Å
α = 90.00°, β = 90.00°, γ = 90.00°
Atoms (fractional coordinates):
Ba 0.250 0.250 0.146
Ba 0.250 0.750 0.646
Ba 0.750 0.250 0.354
Ba 0.750 0.750 0.854
La 0.075 0.250 0.887
La 0.081 0.250 0.388
La 0.419 0.750 0.888
La 0.425 0.750 0.387
La 0.575 0.250 0.613
La 0.581 0.250 0.112
La 0.919 0.750 0.612
La 0.925 0.750 0.113
O 0.014 0.750 0.783
O 0.071 0.250 0.576
O 0.124 0.750 0.018
O 0.212 0.750 0.327
O 0.288 0.250 0.827
O 0.376 0.250 0.518
O 0.429 0.750 0.076
O 0.486 0.250 0.283
O 0.514 0.750 0.717
O 0.571 0.250 0.924
O 0.624 0.750 0.482
O 0.712 0.750 0.173
O 0.788 0.250 0.673
O 0.876 0.250 0.982
O 0.929 0.750 0.424
O 0.986 0.250 0.217

[9]
Structure and calculated XRD peak list of BaLa2O4 (the PBE geometry in the Materials Project; CuKα).

Peak list (6 most intense, 2θ from 10° to 90°, by angle)
- 2θ 26.53, intensity 35
- 2θ 26.84, intensity 100
- 2θ 29.57, intensity 64
- 2θ 33.94, intensity 35
- 2θ 36.43, intensity 32
- 2θ 50.78, intensity 31

Structure:
a = 6.316 Å, b = 6.316 Å, c = 11.929 Å
α = 90.00°, β = 90.00°, γ = 146.33°
Atoms (fractional coordinates):
Ba 0.110 0.890 0.750
Ba 0.890 0.110 0.250
La 0.366 0.634 0.573
La 0.366 0.634 0.927
La 0.634 0.366 0.073
La 0.634 0.366 0.427
O 0.000 0.000 0.000
O 0.000 0.000 0.500
O 0.263 0.737 0.104
O 0.263 0.737 0.396
O 0.454 0.546 0.750
O 0.546 0.454 0.250
O 0.737 0.263 0.604
O 0.737 0.263 0.896

> What is the formula in the ninth record?

BaLa2O4

> What is the formula in the fifth record?

Ba3La2Ti2Nb2O15

> What is the formula in the first record?

BaSrLaNbO6